Diffraction record for SiIr3. The powder XRD pattern is simulated, not measured: it uses a structure optimized by DFT (GGA-PBE) and copper Kα.
Lines closer than 0.1° are merged.

The 10 most intense peaks (10° ≤ 2θ ≤ 80°), sorted by position:
2θ = 32.70°, intensity 390
2θ = 39.76°, intensity 612
2θ = 40.86°, intensity 1000
2θ = 45.03°, intensity 298
2θ = 48.75°, intensity 207
2θ = 51.53°, intensity 316
2θ = 54.96°, intensity 173
2θ = 68.53°, intensity 151
2θ = 73.68°, intensity 160
2θ = 75.06°, intensity 181

```
8
Lattice="-2.6416 2.6416 4.0265 2.6416 -2.6416 4.0265 2.6416 2.6416 -4.0265" Properties=species:S:1:pos:R:3 pbc="T T T"
Si 2.6416 0.0000 2.0132
Si 0.0000 2.6416 2.0132
Ir 3.6182 0.9766 0.0000
Ir 0.0000 0.0000 2.0132
Ir 0.9766 1.6650 0.0000
Ir 1.6650 0.9766 4.0265
Ir 0.0000 0.0000 6.0397
Ir -0.9766 1.6650 4.0265
```

Diffraction record for LiTi8O16. The powder XRD pattern is simulated, not measured: it uses a structure optimized by DFT (GGA-PBE) and copper Kα.
Lines closer than 0.1° are merged.

The 10 most intense peaks (10° ≤ 2θ ≤ 80°), sorted by position:
2θ = 23.99°, intensity 1000
2θ = 24.32°, intensity 434
2θ = 25.35°, intensity 646
2θ = 25.48°, intensity 700
2θ = 28.78°, intensity 368
2θ = 30.36°, intensity 752
2θ = 31.08°, intensity 324
2θ = 36.28°, intensity 393
2θ = 38.64°, intensity 248
2θ = 43.97°, intensity 250

```
25
Lattice="5.2074 0.0000 0.0000 0.1381 5.5836 0.0000 0.5092 0.5203 9.4614" Properties=species:S:1:pos:R:3 pbc="T T T"
Li 0.0000 0.0000 0.0000
Ti 0.1996 2.6849 0.1790
Ti 0.6983 0.5800 2.5074
Ti 2.1034 2.2156 7.0365
Ti 2.1661 4.9772 4.8278
Ti 3.2964 4.9209 9.3193
Ti 3.2516 2.2123 2.4627
Ti 4.6541 0.5230 6.9930
Ti 4.7602 3.3391 4.8211
O 0.5024 1.9429 8.2507
O 0.5067 4.7671 3.7500
O 1.2449 3.4466 5.8294
O 1.1963 0.6702 6.1401
O 1.5090 4.9746 1.0749
O 1.5679 2.1675 1.4788
O 2.3663 3.6058 8.4579
O 2.3795 0.7784 3.5011
O 3.0813 0.8441 8.1668
O 3.0845 3.6019 3.7829
O 3.8309 2.2074 6.1749
O 3.8833 4.9891 5.7868
O 3.9718 3.5491 1.1664
O 4.4237 1.0875 1.3020
O 5.1102 4.7785 8.3861
O 4.9760 1.9582 3.6040
```

Diffraction record for SmB2H8. The powder XRD pattern is simulated, not measured: it uses a structure optimized by DFT (GGA-PBE) and copper Kα.
Lines closer than 0.1° are merged.

The 10 most intense peaks (10° ≤ 2θ ≤ 80°), sorted by position:
2θ = 16.85°, intensity 1000
2θ = 21.25°, intensity 853
2θ = 24.63°, intensity 252
2θ = 25.87°, intensity 279
2θ = 26.61°, intensity 477
2θ = 31.04°, intensity 435
2θ = 36.02°, intensity 297
2θ = 36.57°, intensity 572
2θ = 39.62°, intensity 300
2θ = 41.40°, intensity 160

```
44
Lattice="7.2304 0.0000 0.0000 0.0000 7.6688 0.0000 0.0000 0.0000 6.8880" Properties=species:S:1:pos:R:3 pbc="T T T"
Sm 0.0000 0.8759 1.7220
Sm 0.0000 6.7929 5.1660
Sm 3.6152 2.9585 5.1660
Sm 3.6152 4.7103 1.7220
B 1.7780 1.0144 4.0950
B 1.7780 6.6544 0.6510
B 1.8372 2.8200 0.6510
B 1.8372 4.8488 4.0950
B 5.3932 2.8200 2.7930
B 5.3932 4.8488 6.2370
B 5.4523 1.0144 6.2370
B 5.4523 6.6544 2.7930
H 0.8203 1.6754 4.4776
H 0.8203 5.9934 1.0336
H 1.1510 2.2030 6.7341
H 1.1510 5.4658 3.2901
H 1.1748 3.2478 1.5795
H 1.1748 4.4210 5.0235
H 1.3683 0.0161 3.4545
H 1.3683 7.6527 0.0105
H 2.2469 3.8183 0.0105
H 2.2469 3.8505 3.4545
H 2.4404 0.5866 5.0235
H 2.4404 7.0822 1.5795
H 2.4641 1.6314 3.2901
H 2.4641 6.0374 6.7341
H 2.7949 2.1590 1.0336
H 2.7949 5.5098 4.4776
H 4.4355 2.1590 2.4104
H 4.4355 5.5098 5.8544
H 4.7662 1.6314 0.1539
H 4.7662 6.0374 3.5980
H 4.7900 0.5866 5.3086
H 4.7900 7.0822 1.8645
H 4.9835 3.8183 3.4335
H 4.9835 3.8505 6.8775
H 5.8621 0.0161 6.8775
H 5.8621 7.6527 3.4335
H 6.0556 3.2478 1.8645
H 6.0556 4.4210 5.3086
H 6.0793 2.2030 3.5980
H 6.0793 5.4658 0.1539
H 6.4101 1.6754 5.8544
H 6.4101 5.9934 2.4104
```

Diffraction record for Zn3RhF6. The powder XRD pattern is simulated, not measured: it uses a structure optimized by DFT (GGA-PBE) and copper Kα.
Lines closer than 0.1° are merged.

The 10 most intense peaks (10° ≤ 2θ ≤ 80°), sorted by position:
2θ = 11.47°, intensity 1000
2θ = 17.08°, intensity 233
2θ = 18.00°, intensity 281
2θ = 19.93°, intensity 103
2θ = 23.06°, intensity 321
2θ = 25.46°, intensity 200
2θ = 34.55°, intensity 152
2θ = 35.11°, intensity 116
2θ = 36.47°, intensity 133
2θ = 40.51°, intensity 105

```
10
Lattice="5.4013 0.0000 0.0000 -1.8817 5.3315 0.0000 -2.6284 -1.8025 7.7130" Properties=species:S:1:pos:R:3 pbc="T T T"
Zn 0.0000 0.0000 0.0000
Zn -1.3142 -0.9012 3.8565
Zn 1.7598 2.6658 0.0000
Rh 2.7006 0.0000 0.0000
F -1.9637 -1.0081 5.5009
F 0.0973 1.8261 0.5707
F -1.8506 2.0815 6.3381
F 2.7418 1.4475 1.3749
F 0.7939 1.7030 7.1423
F 2.8549 4.5371 2.2120
```

Diffraction record for TbMn6Al6. The powder XRD pattern is simulated, not measured: it uses a structure optimized by DFT (GGA-PBE) and copper Kα.
Lines closer than 0.1° are merged.

The 10 most intense peaks (10° ≤ 2θ ≤ 80°), sorted by position:
2θ = 14.39°, intensity 546
2θ = 29.01°, intensity 245
2θ = 29.12°, intensity 283
2θ = 29.38°, intensity 522
2θ = 40.97°, intensity 369
2θ = 41.51°, intensity 618
2θ = 41.83°, intensity 361
2θ = 42.04°, intensity 1000
2θ = 42.31°, intensity 316
2θ = 60.95°, intensity 240

```
13
Lattice="-2.4610 4.3013 4.4056 2.4610 -4.3013 4.4056 2.4610 4.3013 -4.4056" Properties=species:S:1:pos:R:3 pbc="T T T"
Tb 0.0000 0.0000 0.0000
Mn 1.2305 2.1507 -2.2028
Mn 1.2305 -2.1507 2.2028
Mn 2.4610 2.0325 0.0000
Mn -1.2305 2.1507 2.2028
Mn 1.2305 2.1507 2.2028
Mn 0.0000 2.2689 4.4056
Al 2.4610 0.0000 1.7355
Al 0.0000 2.9148 0.0000
Al 0.0000 0.0000 3.0577
Al 0.0000 0.0000 5.7534
Al 0.0000 5.6879 0.0000
Al 0.0000 4.3013 2.6701
```

Diffraction record for AlCu3. The powder XRD pattern is simulated, not measured: it uses a structure optimized by DFT (GGA-PBE) and copper Kα.
Lines closer than 0.1° are merged.

The 10 most intense peaks (10° ≤ 2θ ≤ 80°), sorted by position:
2θ = 19.69°, intensity 53
2θ = 28.92°, intensity 111
2θ = 34.45°, intensity 49
2θ = 39.99°, intensity 247
2θ = 42.70°, intensity 271
2θ = 45.58°, intensity 1000
2θ = 55.97°, intensity 22
2θ = 58.36°, intensity 31
2θ = 59.92°, intensity 139
2θ = 72.62°, intensity 150

```
8
Lattice="5.2073 0.0000 0.0000 -2.6036 4.5096 0.0000 0.0000 0.0000 4.2352" Properties=species:S:1:pos:R:3 pbc="T T T"
Al 0.0000 3.0064 1.0588
Al 2.6036 1.5032 3.1764
Cu 0.0000 1.4957 3.1764
Cu -1.3083 3.7618 3.1764
Cu 1.2953 0.7478 1.0588
Cu 1.3083 3.7618 3.1764
Cu 3.9120 0.7478 1.0588
Cu 2.6036 3.0139 1.0588
```

Diffraction record for CaTi2P2O10. The powder XRD pattern is simulated, not measured: it uses a structure optimized by DFT (GGA-PBE) and copper Kα.
Lines closer than 0.1° are merged.

The 10 most intense peaks (10° ≤ 2θ ≤ 80°), sorted by position:
2θ = 21.73°, intensity 229
2θ = 26.15°, intensity 658
2θ = 28.75°, intensity 516
2θ = 30.46°, intensity 417
2θ = 30.81°, intensity 377
2θ = 30.96°, intensity 1000
2θ = 36.36°, intensity 365
2θ = 46.95°, intensity 210
2θ = 52.34°, intensity 263
2θ = 55.28°, intensity 233

```
30
Lattice="0.0000 8.1564 3.6396 5.9549 0.0000 3.6396 5.9549 8.1564 0.0000" Properties=species:S:1:pos:R:3 pbc="T T T"
Ca 0.0000 0.0000 0.0000
Ca 2.9775 4.0782 1.8198
Ti 7.3344 6.1940 2.8291
Ti 4.5754 10.1187 2.8291
Ti 7.5529 10.2722 4.6489
Ti 4.3569 6.0405 4.6489
P 2.9766 0.6781 1.8528
P 5.9540 3.4001 3.6726
P 2.9783 7.4783 1.8528
P 5.9558 12.9126 3.6726
O 6.1151 5.7096 1.2385
O 7.6631 7.9436 1.7093
O 7.1946 4.3260 3.8215
O 8.7415 6.5664 4.2525
O 8.7722 9.7878 3.0583
O 5.7947 10.6031 1.2385
O 4.6857 4.2910 3.5291
O 4.2467 8.3692 1.7093
O 5.9544 6.7815 3.6649
O 3.1376 6.5249 3.0583
O 5.9554 9.5312 3.6649
O 7.2241 12.0217 3.5291
O 7.6927 8.4042 5.6413
O 8.9329 10.8597 5.4847
O 11.7189 13.8245 6.0723
O 8.9318 13.6094 5.4847
O 4.7152 11.9867 3.8215
O 4.2171 7.9086 5.6413
O 3.1683 9.7463 4.2525
O 6.1458 10.6446 6.0723
```

Question: Which formula does entry 3 have?
Answer: SmB2H8